Calculated powder X-ray diffraction pattern of CeBiS2 for Cu Kα (λ = 1.5418 Å), from DFT lattice parameters and positions (GGA-PBE).
No peak broadening, texture or thermal motion is included.

Crystal structure
```
data_CeBiS2
_space_group_name_H-M_alt 'R -3 m'
_space_group_IT_number 166
_space_group_name_Hall '-R 3 2"'
_cell_length_a 4.1188
_cell_length_b 4.1188
_cell_length_c 25.7923
_cell_angle_alpha 90.00
_cell_angle_beta 90.00
_cell_angle_gamma 120.00
loop_
_atom_site_label
_atom_site_fract_x
_atom_site_fract_y
_atom_site_fract_z
Ce1 0.0000 0.0000 0.0000
Bi1 0.0000 0.0000 0.5000
S1 0.0000 0.0000 0.1076
```

Top 6 peaks for 2θ from 10° to 80°, low angle first:
| 2θ (°) | d [Å] | I_rel |
| --- | --- | --- |
| 20.66 | 4.299 | 40 |
| 25.92 | 3.438 | 100 |
| 28.60 | 3.121 | 48 |
| 37.61 | 2.392 | 44 |
| 43.29 | 2.090 | 32 |
| 43.97 | 2.059 | 32 |


Calculated powder X-ray diffraction pattern of TmCdAu4 for Cu Kα (λ = 1.5418 Å), from DFT lattice parameters and positions (GGA-PBE).
No peak broadening, texture or thermal motion is included.

Crystal structure
```
data_TmCdAu4
_space_group_name_H-M_alt 'P -1'
_space_group_IT_number 2
_space_group_name_Hall '-P 1'
_cell_length_a 3.877
_cell_length_b 5.136
_cell_length_c 6.947
_cell_angle_alpha 108.99
_cell_angle_beta 90.04
_cell_angle_gamma 112.10
loop_
_atom_site_label
_atom_site_fract_x
_atom_site_fract_y
_atom_site_fract_z
Tm1 0.000 0.000 0.000
Cd1 0.000 0.000 0.500
Au1 0.334 0.670 0.668
Au2 0.335 0.670 0.168
```

Top 6 peaks for 2θ from 10° to 80°, low angle first:
| 2θ (°) | d [Å] | I_rel |
| --- | --- | --- |
| 34.67 | 2.587 | 100 |
| 38.17 | 2.358 | 77 |
| 39.65 | 2.273 | 35 |
| 40.24 | 2.241 | 33 |
| 46.86 | 1.939 | 22 |
| 73.16 | 1.294 | 23 |